K2Cr2AsHO10: calculated X-ray diffraction stick pattern (Cu Ka), based on a PBE+U-relaxed structure.
Lines closer than 0.1° are merged.

Most intense lines, 10° ≤ 2θ ≤ 80°, low angle first:
| 2θ/deg | d_spacing | I/Imax | (hkl) |
| --- | --- | --- | --- |
| 17.77 | 4.991 | 57.8 | 0 1 2 |
| 22.40 | 3.969 | 53.7 | 1 0 3 |
| 22.57 | 3.939 | 49.4 | 1 1 0 |
| 25.68 | 3.469 | 45.7 | 1 1 2 |
| 26.12 | 3.411 | 98.0 | 2 0 0 |
| 26.83 | 3.322 | 39.7 | 0 2 1 |
| 27.66 | 3.226 | 100.0 | 1 0 4 |
| 42.90 | 2.108 | 53.9 | 1 2 4 |

Structural model:
```
data_K2Cr2AsHO10
_chemical_formula_sum 'K6 Cr6 As3 H3 O30'
_space_group_name_H-M_alt 'P 32 2 1'
_space_group_IT_number 154
_space_group_name_Hall 'P 32 2"'
_cell_length_a 7.8782
_cell_length_b 7.8782
_cell_length_c 14.6416
_cell_angle_alpha 90.00
_cell_angle_beta 90.00
_cell_angle_gamma 120.00
loop_
_atom_site_label
_atom_site_type_symbol
_atom_site_fract_x
_atom_site_fract_y
_atom_site_fract_z
K1 K 0.0000 0.5469 0.3333
K2 K 0.0000 0.6394 0.8333
Cr1 Cr 0.0137 0.5838 0.0758
As1 As 0.0000 0.1228 0.8333
H1 H 0.0000 0.9459 0.3333
O1 O 0.0369 0.0805 0.0802
O2 O 0.0928 0.5052 0.5143
O3 O 0.1468 0.5374 0.0066
O4 O 0.1479 0.7558 0.6496
O5 O 0.1767 0.8181 0.1344
```